(1)
This entry pairs a crystal structure of K4FeO3 with its calculated powder XRD pattern. Radiation: Cu Kα X-rays. Structure: a crystal structure in Alexandria, relaxed with PBE+U.
Lines closer than 0.1° are merged.

Principal peaks in the range 2θ from 10° to 90°, low angle first:
two_theta  I_rel
19.95  21.2
29.12  26.1
30.36  75.6
31.25  100.0
34.96  55.8
37.31  10.7
40.20  17.8
41.11  9.8
46.15  12.2
47.78  23.1
53.47  11.7
60.43  16.5

Structure:
```
K4FeO3
1.0
5.788 -3.434 0.000
5.788 3.434 0.000
-4.461 0.000 8.559
K Fe O
8 2 6
direct
0.003 0.345 0.400
0.148 0.852 0.500
0.189 0.528 0.819
0.345 0.003 0.900
0.385 0.682 0.219
0.528 0.189 0.319
0.682 0.385 0.719
0.852 0.148 0.000
0.661 0.872 0.609
0.872 0.661 0.109
0.153 0.381 0.108
0.381 0.153 0.608
0.579 0.622 0.007
0.622 0.579 0.507
0.911 0.954 0.213
0.954 0.911 0.713
```

(2)
This entry pairs a crystal structure of K3FeO2 with its calculated powder XRD pattern. Radiation: Cu Kα X-rays. Structure: a crystal structure in Alexandria, relaxed with PBE+U.
Lines closer than 0.1° are merged.

Principal peaks in the range 2θ from 10° to 90°, low angle first:
two_theta  I_rel
18.76  8.2
28.82  45.1
31.85  100.0
41.22  28.8
49.80  8.6
53.01  37.1
58.56  10.5
59.70  7.7
66.57  12.3
67.63  7.6
69.28  9.4
83.91  9.8

Structure:
```
K3FeO2
1.0
6.195 0.000 0.000
0.000 6.195 0.000
0.000 0.000 14.648
K Fe O
12 4 8
direct
0.001 0.498 0.125
0.002 0.501 0.375
0.003 0.003 0.500
0.497 0.503 0.750
0.498 0.001 0.875
0.499 0.998 0.125
0.501 0.002 0.625
0.502 0.999 0.375
0.503 0.497 0.250
0.997 0.997 0.000
0.998 0.499 0.875
0.999 0.502 0.625
0.000 0.000 0.250
0.000 0.000 0.750
0.500 0.500 0.000
0.500 0.500 0.500
0.208 0.208 0.251
0.208 0.208 0.749
0.292 0.708 0.501
0.292 0.708 0.999
0.708 0.292 0.001
0.708 0.292 0.499
0.792 0.792 0.249
0.792 0.792 0.751
```